The following is a computed PXRD pattern of Nd2MgTi2S2O5. It was derived from a PBE-relaxed structure, using Cu Kα, 1.54184 Å.
Lines closer than 0.1° are merged.

Structural model:
```
12
Lattice="-1.987 1.987 11.342 1.987 -1.987 11.342 1.987 1.987 -11.342" Properties=species:S:1:pos:R:3 pbc="T T T"
Nd 0.000 0.000 3.756
Nd 0.000 0.000 18.928
Mg 0.000 0.000 0.000
Ti 0.000 0.000 9.431
Ti 0.000 0.000 13.252
S 0.000 0.000 6.739
S 0.000 0.000 15.945
O 1.987 0.000 2.137
O 1.987 0.000 9.204
O 0.000 0.000 11.342
O 0.000 1.987 2.137
O 0.000 1.987 9.204
```

Main lines, in order of rising 2θ (2θ = 5–70°):
2θ (°)	intensity
7.8	40
15.6	52
25.3	100
29.9	34
31.8	100
35.7	80
40.0	56
42.5	49
45.7	60
59.3	33


The following is a computed PXRD pattern of Nd2MgTi2S2O5. It was derived from a PBE-relaxed structure, using Cu Kα, 1.54184 Å.
Lines closer than 0.1° are merged.

Structural model:
```
12
Lattice="2.726 -2.726 0.000 2.726 2.726 0.000 -0.175 0.000 14.387" Properties=species:S:1:pos:R:3 pbc="T T T"
Nd 0.000 0.000 0.000
Nd 2.645 0.000 10.331
Mg -0.072 0.000 6.987
Ti 2.657 0.000 5.686
Ti 2.727 0.000 2.054
S -0.082 0.000 9.547
S 2.545 0.000 13.051
O 1.296 1.361 6.355
O 1.366 1.364 1.395
O 1.296 -1.361 6.355
O 1.366 -1.364 1.395
O 2.711 0.000 3.873
```

Main lines, in order of rising 2θ (2θ = 5–70°):
2θ (°)	intensity
6.1	100
18.5	65
24.8	27
26.1	59
26.3	62
32.9	73
38.9	21
39.2	20
44.7	19
47.2	43


The following is a computed PXRD pattern of NdMg2TaO6. It was derived from a PBE-relaxed structure, using Cu Kα, 1.54184 Å.
Lines closer than 0.1° are merged.

Structural model:
```
20
Lattice="-3.375 3.805 5.239 3.375 -3.805 5.239 3.375 3.805 -5.239" Properties=species:S:1:pos:R:3 pbc="T T T"
Nd 0.000 0.000 0.000
Nd 0.000 3.805 0.000
Mg 1.687 1.903 -2.619
Mg 1.687 -1.903 2.619
Mg -1.687 1.903 2.619
Mg 1.687 1.903 2.619
Ta 3.375 0.000 0.000
Ta 0.000 0.000 5.239
O 1.924 -0.506 1.260
O 4.826 -0.506 1.260
O 1.924 3.299 -1.260
O 1.451 -0.506 3.979
O 3.375 1.903 0.848
O 0.000 1.903 1.451
O 3.375 1.903 3.788
O 0.000 1.903 4.391
O 1.924 4.311 1.260
O 1.451 0.506 6.498
O -1.451 4.311 3.979
O 1.451 4.311 3.979
```

Main lines, in order of rising 2θ (2θ = 5–70°):
2θ (°)	intensity
16.9	100
23.4	48
26.4	26
29.0	97
31.5	80
35.6	37
39.6	42
43.7	22
50.2	57
58.4	28


The following is a computed PXRD pattern of NdMgPd. It was derived from a PBE-relaxed structure, using Cu Kα, 1.54184 Å.
Lines closer than 0.1° are merged.

Structural model:
```
9
Lattice="7.697 0.000 0.000 -3.849 6.666 0.000 0.000 0.000 4.067" Properties=species:S:1:pos:R:3 pbc="T T T"
Nd -2.265 3.924 0.000
Nd 1.583 2.742 0.000
Nd 4.531 0.000 0.000
Mg -0.935 1.620 2.034
Mg 1.870 0.000 2.034
Mg 2.913 5.046 2.034
Pd 0.000 0.000 0.000
Pd 0.000 4.444 2.034
Pd 3.849 2.222 2.034
```

Main lines, in order of rising 2θ (2θ = 5–70°):
2θ (°)	intensity
23.1	37
26.7	23
32.0	86
34.8	100
35.6	24
40.6	33
42.2	27
44.6	22
54.5	24
65.2	25